Simulated X-ray powder pattern
Compound: Pm6HoMg
Radiation: Cu Ka
Structure: a crystal structure in Alexandria, relaxed with GGA-PBE
Neutral-atom scattering factors, no anomalous dispersion.

Peak list (12 most intense, 2θ = 15–90°, in order of rising 2θ)
d 4.933, rel. 6
d 2.927, rel. 100
d 2.544, rel. 34
d 2.517, rel. 16
d 1.799, rel. 12
d 1.789, rel. 23
d 1.533, rel. 29
d 1.521, rel. 13
d 1.464, rel. 12
d 1.167, rel. 6
d 1.161, rel. 11
d 1.138, rel. 6

Cell and atoms:
Lattice parameters (Å, degrees): 5.0879 5.0879 20.1386 90.00 90.00 90.00
Fractional coordinates of all 16 atoms:
Pm  0.0000  0.0000  0.2485
Pm  0.0000  0.0000  0.7515
Pm  0.0000  0.5000  0.1212
Pm  0.0000  0.5000  0.3788
Pm  0.0000  0.5000  0.6212
Pm  0.0000  0.5000  0.8788
Pm  0.5000  0.0000  0.1212
Pm  0.5000  0.0000  0.3788
Pm  0.5000  0.0000  0.6212
Pm  0.5000  0.0000  0.8788
Pm  0.5000  0.5000  0.2515
Pm  0.5000  0.5000  0.7485
Ho  0.0000  0.0000  0.0000
Ho  0.5000  0.5000  0.5000
Mg  0.0000  0.0000  0.5000
Mg  0.5000  0.5000  0.0000

=====

Simulated X-ray powder pattern
Compound: Ag2PS3
Radiation: Cu Ka
Structure: a crystal structure in Alexandria, relaxed with GGA-PBE
Neutral-atom scattering factors, no anomalous dispersion.

Peak list (12 most intense, 2θ = 15–90°, in order of rising 2θ)
d 5.155, rel. 69
d 3.624, rel. 100
d 3.160, rel. 47
d 3.136, rel. 64
d 3.028, rel. 57
d 2.987, rel. 58
d 2.671, rel. 74
d 2.556, rel. 44
d 2.519, rel. 47
d 2.146, rel. 48
d 2.096, rel. 45
d 2.030, rel. 37

Cell and atoms:
Lattice parameters (Å, degrees): 6.3480 11.1796 14.4104 90.00 90.00 90.00
Fractional coordinates of all 48 atoms:
Ag  0.0441  0.1899  0.1127
Ag  0.0642  0.6403  0.6022
Ag  0.1024  0.3770  0.6461
Ag  0.2052  0.2910  0.3793
Ag  0.2948  0.7090  0.8793
Ag  0.3976  0.6230  0.1461
Ag  0.4358  0.3597  0.1022
Ag  0.4559  0.8101  0.6127
Ag  0.5441  0.3101  0.8873
Ag  0.5642  0.8597  0.3978
Ag  0.6024  0.1230  0.3539
Ag  0.7052  0.2090  0.6207
Ag  0.7948  0.7910  0.1207
Ag  0.8976  0.8770  0.8539
Ag  0.9358  0.1403  0.8978
Ag  0.9559  0.6899  0.3873
P  0.0560  0.0027  0.4572
P  0.1069  0.9695  0.2997
P  0.3931  0.0305  0.7997
P  0.4440  0.9973  0.9572
P  0.5560  0.4973  0.5428
P  0.6069  0.5305  0.7003
P  0.8931  0.4695  0.2003
P  0.9440  0.5027  0.0428
S  0.1004  0.6662  0.0362
S  0.1206  0.3629  0.9937
S  0.1577  0.9863  0.0172
S  0.1789  0.4667  0.2634
S  0.2224  0.8838  0.7547
S  0.2392  0.1909  0.7917
S  0.2608  0.8091  0.2917
S  0.2776  0.1162  0.2547
S  0.3211  0.5333  0.7634
S  0.3423  0.0137  0.5172
S  0.3794  0.6371  0.4937
S  0.3996  0.3338  0.5362
S  0.6004  0.8338  0.9638
S  0.6206  0.1371  0.0063
S  0.6577  0.5137  0.9828
S  0.6789  0.0333  0.7366
S  0.7224  0.6162  0.2453
S  0.7392  0.3091  0.2083
S  0.7608  0.6909  0.7083
S  0.7776  0.3838  0.7453
S  0.8211  0.9667  0.2366
S  0.8423  0.4863  0.4828
S  0.8794  0.8629  0.5063
S  0.8996  0.1662  0.4638

=====

Simulated X-ray powder pattern
Compound: BaSr2Er6O12
Radiation: Cu Ka
Structure: a crystal structure in Alexandria, relaxed with GGA-PBE
Neutral-atom scattering factors, no anomalous dispersion.

Peak list (12 most intense, 2θ = 15–90°, in order of rising 2θ)
d 5.149, rel. 12
d 2.972, rel. 100
d 2.852, rel. 79
d 2.402, rel. 14
d 2.058, rel. 39
d 1.716, rel. 21
d 1.692, rel. 39
d 1.486, rel. 13
d 1.484, rel. 26
d 1.318, rel. 13
d 1.212, rel. 14
d 1.123, rel. 20

Cell and atoms:
Lattice parameters (Å, degrees): 10.2970 10.2970 3.4250 90.00 90.00 120.00
Fractional coordinates of all 21 atoms:
Ba  0.0000  0.0000  0.0000
Sr  0.3333  0.6667  0.5000
Sr  0.6667  0.3333  0.0000
Er  0.0007  0.3484  0.0000
Er  0.3475  0.3458  0.5000
Er  0.3477  0.9993  0.0000
Er  0.6516  0.6523  0.0000
Er  0.6542  0.0016  0.5000
Er  0.9984  0.6525  0.5000
O  0.1026  0.2828  0.5000
O  0.1269  0.6053  0.0000
O  0.1802  0.8974  0.5000
O  0.3120  0.1955  0.0000
O  0.3947  0.5216  0.0000
O  0.4784  0.8731  0.0000
O  0.5192  0.1216  0.5000
O  0.6024  0.4808  0.5000
O  0.7172  0.8198  0.5000
O  0.8045  0.1165  0.0000
O  0.8784  0.3976  0.5000
O  0.8835  0.6880  0.0000

=====

Simulated X-ray powder pattern
Compound: Hf2AlFeH
Radiation: Cu Ka
Structure: a crystal structure in Alexandria, relaxed with GGA-PBE
Neutral-atom scattering factors, no anomalous dispersion.

Peak list (12 most intense, 2θ = 15–90°, in order of rising 2θ)
d 3.604, rel. 28
d 3.155, rel. 39
d 2.374, rel. 100
d 2.231, rel. 42
d 1.897, rel. 20
d 1.802, rel. 11
d 1.578, rel. 14
d 1.565, rel. 11
d 1.402, rel. 19
d 1.314, rel. 30
d 1.187, rel. 11
d 1.123, rel. 9

Cell and atoms:
Lattice parameters (Å, degrees): 4.4619 4.4619 3.6041 90.00 90.00 90.00
Fractional coordinates of all 5 atoms:
Hf  0.0000  0.5000  0.0000
Hf  0.5000  0.0000  0.0000
Al  0.0000  0.0000  0.5000
Fe  0.5000  0.5000  0.5000
H  0.5000  0.5000  0.0000

=====

Simulated X-ray powder pattern
Compound: TbSm2DySc
Radiation: Cu Ka
Structure: a crystal structure in Alexandria, relaxed with GGA-PBE
Neutral-atom scattering factors, no anomalous dispersion.

Peak list (12 most intense, 2θ = 15–90°, in order of rising 2θ)
d 5.007, rel. 12
d 3.248, rel. 11
d 3.091, rel. 39
d 3.002, rel. 20
d 2.954, rel. 100
d 2.700, rel. 26
d 2.630, rel. 14
d 2.262, rel. 16
d 2.239, rel. 14
d 1.757, rel. 22
d 1.611, rel. 12
d 1.571, rel. 14

Cell and atoms:
Lattice parameters (Å, degrees): 6.1819 7.8619 6.4951 90.00 90.00 90.00
Fractional coordinates of all 10 atoms:
Tb  0.2500  0.0000  0.0929
Tb  0.7500  0.0000  0.9071
Sm  0.2500  0.2942  0.7822
Sm  0.2500  0.7058  0.7822
Sm  0.7500  0.2942  0.2178
Sm  0.7500  0.7058  0.2178
Dy  0.2500  0.5000  0.3067
Dy  0.7500  0.5000  0.6933
Sc  0.0000  0.0000  0.5000
Sc  0.5000  0.0000  0.5000

=====

Simulated X-ray powder pattern
Compound: Tl2Hg6Au
Radiation: Cu Ka
Structure: a crystal structure in Alexandria, relaxed with GGA-PBE
Neutral-atom scattering factors, no anomalous dispersion.

Peak list (12 most intense, 2θ = 15–90°, in order of rising 2θ)
d 2.955, rel. 18
d 2.839, rel. 46
d 2.770, rel. 93
d 2.632, rel. 100
d 2.622, rel. 17
d 2.474, rel. 37
d 2.369, rel. 13
d 1.953, rel. 16
d 1.864, rel. 22
d 1.790, rel. 20
d 1.480, rel. 44
d 1.450, rel. 17

Cell and atoms:
Lattice parameters (Å, degrees): 5.2837 3.5794 13.2086 90.00 97.40 90.00
Fractional coordinates of all 9 atoms:
Tl  0.0000  0.0000  0.0000
Tl  0.3861  0.0000  0.6722
Hg  0.2038  0.5000  0.2140
Hg  0.3035  0.5000  0.4457
Hg  0.4436  0.5000  0.8976
Hg  0.7331  0.0000  0.2930
Hg  0.8351  0.0000  0.5242
Hg  0.9054  0.5000  0.7623
Au  0.6567  0.5000  0.1102

=====

Simulated X-ray powder pattern
Compound: La2CdIn4
Radiation: Cu Ka
Structure: a crystal structure in Alexandria, relaxed with GGA-PBE
Neutral-atom scattering factors, no anomalous dispersion.

Peak list (12 most intense, 2θ = 15–90°, in order of rising 2θ)
d 3.257, rel. 48
d 2.732, rel. 100
d 2.677, rel. 47
d 2.645, rel. 48
d 2.469, rel. 23
d 2.197, rel. 28
d 2.032, rel. 11
d 1.698, rel. 25
d 1.556, rel. 18
d 1.366, rel. 11
d 1.362, rel. 12
d 1.329, rel. 20

Cell and atoms:
Lattice parameters (Å, degrees): 8.1042 6.8635 6.2247 76.34 55.38 48.28
Fractional coordinates of all 7 atoms:
La  0.1323  0.1323  0.8677
La  0.8677  0.8677  0.1323
Cd  0.5000  0.5000  0.5000
In  0.0000  0.0000  0.5000
In  0.2500  0.2500  0.2500
In  0.5000  0.5000  0.0000
In  0.7500  0.7500  0.7500

=====

Simulated X-ray powder pattern
Compound: AcHoAl2Ge2
Radiation: Cu Ka
Structure: a crystal structure in Alexandria, relaxed with GGA-PBE
Neutral-atom scattering factors, no anomalous dispersion.

Peak list (12 most intense, 2θ = 15–90°, in order of rising 2θ)
d 4.453, rel. 9
d 3.693, rel. 33
d 3.412, rel. 9
d 2.843, rel. 100
d 2.226, rel. 9
d 2.132, rel. 34
d 1.907, rel. 17
d 1.706, rel. 22
d 1.540, rel. 17
d 1.377, rel. 9
d 1.332, rel. 20
d 1.183, rel. 7

Cell and atoms:
Lattice parameters (Å, degrees): 4.2647 4.2647 8.9056 90.00 90.00 120.00
Fractional coordinates of all 6 atoms:
Ac  0.0000  0.0000  0.0000
Ho  0.0000  0.0000  0.5000
Al  0.3333  0.6667  0.7498
Al  0.6667  0.3333  0.2502
Ge  0.3333  0.6667  0.2955
Ge  0.6667  0.3333  0.7045

=====

Simulated X-ray powder pattern
Compound: Pm3Pr3Sm2
Radiation: Cu Ka
Structure: a crystal structure in Alexandria, relaxed with GGA-PBE
Neutral-atom scattering factors, no anomalous dispersion.

Peak list (12 most intense, 2θ = 15–90°, in order of rising 2θ)
d 3.205, rel. 23
d 2.973, rel. 26
d 2.821, rel. 100
d 2.179, rel. 16
d 1.850, rel. 20
d 1.686, rel. 22
d 1.571, rel. 23
d 1.547, rel. 16
d 1.246, rel. 8
d 1.187, rel. 9
d 1.159, rel. 9
d 1.115, rel. 6

Cell and atoms:
Lattice parameters (Å, degrees): 5.9453 14.8145 6.4035 90.00 90.01 90.00
Fractional coordinates of all 16 atoms:
Pm  0.2494  0.2500  0.3354
Pm  0.2504  0.6255  0.8328
Pm  0.2504  0.8745  0.8328
Pm  0.7496  0.1255  0.1672
Pm  0.7496  0.3745  0.1672
Pm  0.7506  0.7500  0.6646
Pr  0.2501  0.0002  0.3328
Pr  0.2501  0.4998  0.3328
Pr  0.2505  0.7500  0.3323
Pr  0.7499  0.9998  0.6672
Pr  0.7495  0.2500  0.6677
Pr  0.7499  0.5002  0.6672
Sm  0.2496  0.1254  0.8358
Sm  0.2496  0.3746  0.8358
Sm  0.7504  0.6254  0.1642
Sm  0.7504  0.8746  0.1642

=====

Simulated X-ray powder pattern
Compound: Tb4Ni2Pd
Radiation: Cu Ka
Structure: a crystal structure in Alexandria, relaxed with GGA-PBE
Neutral-atom scattering factors, no anomalous dispersion.

Peak list (12 most intense, 2θ = 15–90°, in order of rising 2θ)
d 3.148, rel. 28
d 3.061, rel. 43
d 2.779, rel. 56
d 2.765, rel. 100
d 2.736, rel. 35
d 2.718, rel. 56
d 2.709, rel. 22
d 2.651, rel. 28
d 2.362, rel. 32
d 2.343, rel. 40
d 2.300, rel. 39
d 2.228, rel. 28

Cell and atoms:
Lattice parameters (Å, degrees): 7.3085 7.3369 7.6423 109.63 110.04 106.44
Fractional coordinates of all 14 atoms:
Tb  0.0000  0.0000  0.0000
Tb  0.0291  0.5057  0.9742
Tb  0.1265  0.2288  0.5584
Tb  0.3977  0.6737  0.5191
Tb  0.4900  0.1290  0.3830
Tb  0.5447  0.1899  0.9297
Tb  0.6160  0.7197  0.1003
Tb  0.8659  0.6223  0.4961
Ni  0.0912  0.8313  0.3265
Ni  0.3781  0.3874  0.1665
Ni  0.6240  0.4964  0.7405
Ni  0.9672  0.3466  0.2473
Pd  0.2704  0.7902  0.8695
Pd  0.7858  0.0234  0.6265

=====

Simulated X-ray powder pattern
Compound: Dy4BiPd
Radiation: Cu Ka
Structure: a crystal structure in Alexandria, relaxed with GGA-PBE
Neutral-atom scattering factors, no anomalous dispersion.

Peak list (12 most intense, 2θ = 15–90°, in order of rising 2θ)
d 2.924, rel. 54
d 2.886, rel. 100
d 2.678, rel. 35
d 2.648, rel. 47
d 2.599, rel. 47
d 2.590, rel. 47
d 2.214, rel. 26
d 2.182, rel. 19
d 1.849, rel. 17
d 1.761, rel. 20
d 1.666, rel. 28
d 1.448, rel. 13

Cell and atoms:
Lattice parameters (Å, degrees): 6.1545 6.6646 8.8551 90.00 110.29 90.00
Fractional coordinates of all 12 atoms:
Dy  0.0062  0.0011  0.2093
Dy  0.0062  0.4989  0.2093
Dy  0.3941  0.2500  0.6164
Dy  0.4276  0.2500  0.0923
Dy  0.5724  0.7500  0.9077
Dy  0.6059  0.7500  0.3836
Dy  0.9938  0.5011  0.7907
Dy  0.9938  0.9989  0.7907
Bi  0.2108  0.7500  0.5479
Bi  0.7892  0.2500  0.4521
Pd  0.2578  0.7500  0.0675
Pd  0.7422  0.2500  0.9325

=====

Simulated X-ray powder pattern
Compound: NaZrBr6
Radiation: Cu Ka
Structure: a crystal structure in Alexandria, relaxed with GGA-PBE
Neutral-atom scattering factors, no anomalous dispersion.

Peak list (12 most intense, 2θ = 15–90°, in order of rising 2θ)
d 5.607, rel. 100
d 3.237, rel. 57
d 2.803, rel. 77
d 2.508, rel. 47
d 2.158, rel. 13
d 1.982, rel. 53
d 1.869, rel. 23
d 1.691, rel. 22
d 1.619, rel. 17
d 1.555, rel. 12
d 1.254, rel. 20
d 1.145, rel. 15

Cell and atoms:
Lattice parameters (Å, degrees): 7.9295 7.9295 7.9295 60.00 60.00 60.00
Fractional coordinates of all 8 atoms:
Na  0.0000  0.0000  0.0000
Zr  0.5000  0.5000  0.5000
Br  0.2653  0.2653  0.7347
Br  0.2653  0.7347  0.2653
Br  0.2653  0.7347  0.7347
Br  0.7347  0.2653  0.2653
Br  0.7347  0.2653  0.7347
Br  0.7347  0.7347  0.2653